Entry 1:
Simulated powder XRD pattern of Hf for Cu Kα, 1.54184 Å, from a DFT-relaxed cell (GGA-PBE, Alexandria).
Intensities are scaled so that the largest is 100.

```
Hf
1.0
0.000 7.678 2.743
1.598 0.000 2.743
1.598 7.678 0.000
Hf
3
Cartesian
0.000 0.000 0.000
1.598 5.167 3.634
1.598 10.190 3.634
```

Top 8 peaks for 10 to 90 degrees two-theta, in order of rising 2θ:
- 32.65 deg, intensity 16
- 32.96 deg, intensity 19
- 34.73 deg, intensity 23
- 35.06 deg, intensity 36
- 36.99 deg, intensity 100
- 40.41 deg, intensity 18
- 58.46 deg, intensity 16
- 64.16 deg, intensity 20

Entry 2:
Simulated powder XRD pattern of Hf3Hg2 for Cu Kα, 1.54184 Å, from a DFT-relaxed cell (GGA-PBE, Alexandria).
Intensities are scaled so that the largest is 100.

```
Hf3Hg2
1.0
3.189 0.000 0.000
0.000 3.189 0.000
0.000 0.000 20.990
Hf Hg
6 4
Cartesian
0.000 0.000 0.000
0.000 0.000 4.164
0.000 0.000 8.361
0.000 0.000 12.629
0.000 0.000 16.826
1.594 1.594 10.495
1.594 1.594 2.079
1.594 1.594 6.221
1.594 1.594 14.769
1.594 1.594 18.911
```

Top 8 peaks for 10 to 90 degrees two-theta, in order of rising 2θ:
- 35.35 deg, intensity 100
- 39.98 deg, intensity 36
- 43.10 deg, intensity 14
- 57.83 deg, intensity 12
- 60.24 deg, intensity 22
- 69.63 deg, intensity 28
- 73.97 deg, intensity 12
- 74.77 deg, intensity 12

> What is the formula in the first record?

Hf